1.
For AgO2, a cell relaxed with PBE gives the simulated X-ray powder pattern in this record (λ = 1.5418 Å (Cu Kα)).

Crystal structure
Unit cell a=7.4295 b=7.4295 c=7.4295 alpha=138.21 beta=138.21 gamma=60.58
Element x y z (fractional)
Ag (0.1250, 0.8750, 0.2500)
Ag (0.3750, 0.6250, 0.7500)
Ag (0.6250, 0.3750, 0.2500)
Ag (0.8750, 0.1250, 0.7500)
O (0.0318, 0.2818, 0.5636)
O (0.2182, 0.4682, 0.9364)
O (0.2818, 0.2182, 0.2500)
O (0.4682, 0.0318, 0.2500)
O (0.5318, 0.9682, 0.7500)
O (0.7182, 0.7818, 0.7500)
O (0.7818, 0.5318, 0.0636)
O (0.9682, 0.7182, 0.4364)

Top 10 peaks for 10 to 80 degrees two-theta, by angle:
| Position (°2θ) | Rel. int. |
| --- | --- |
| 27.57 | 100 |
| 27.81 | 69 |
| 33.83 | 59 |
| 44.34 | 53 |
| 48.60 | 18 |
| 49.05 | 21 |
| 56.78 | 43 |
| 56.92 | 21 |
| 68.37 | 13 |
| 71.53 | 21 |



2.
For La2Tb2Bi2H, a cell relaxed with PBE gives the simulated X-ray powder pattern in this record (λ = 1.5418 Å (Cu Kα)).

Crystal structure
Unit cell a=9.5027 b=9.5027 c=9.5027 alpha=151.47 beta=151.47 gamma=40.79
Element x y z (fractional)
La (0.1779, 0.1779, 0.0000)
La (0.8221, 0.8221, 0.0000)
Tb (0.0000, 0.5000, 0.5000)
Tb (0.5000, 0.0000, 0.5000)
Bi (0.3682, 0.3682, 0.0000)
Bi (0.6318, 0.6318, 0.0000)
H (0.0000, 0.0000, 0.0000)

Top 10 peaks for 10 to 80 degrees two-theta, by angle:
| Position (°2θ) | Rel. int. |
| --- | --- |
| 26.92 | 20 |
| 28.76 | 66 |
| 30.10 | 25 |
| 31.55 | 36 |
| 33.73 | 100 |
| 38.44 | 57 |
| 49.58 | 25 |
| 50.55 | 20 |
| 55.50 | 20 |
| 66.54 | 29 |



3.
For Na2LiSnSe4, a cell relaxed with PBE gives the simulated X-ray powder pattern in this record (λ = 1.5418 Å (Cu Kα)).

Crystal structure
Unit cell a=6.3413 b=6.3413 c=6.3413 alpha=107.76 beta=107.76 gamma=112.95
Element x y z (fractional)
Na (0.0000, 0.5000, 0.5000)
Na (0.5000, 0.0000, 0.5000)
Li (0.0000, 0.0000, 0.0000)
Sn (0.5000, 0.5000, 0.0000)
Se (0.0809, 0.4592, 0.0000)
Se (0.4592, 0.0809, 0.0000)
Se (0.5408, 0.5408, 0.6218)
Se (0.9191, 0.9191, 0.3782)

Top 10 peaks for 10 to 80 degrees two-theta, by angle:
| Position (°2θ) | Rel. int. |
| --- | --- |
| 16.77 | 27 |
| 17.35 | 58 |
| 29.61 | 100 |
| 33.92 | 39 |
| 35.11 | 96 |
| 45.63 | 17 |
| 46.34 | 19 |
| 47.50 | 30 |
| 52.10 | 38 |
| 65.14 | 17 |



4.
For Cu8PtAu2, a cell relaxed with PBE gives the simulated X-ray powder pattern in this record (λ = 1.5418 Å (Cu Kα)).

Crystal structure
Unit cell a=6.8745 b=6.8745 c=6.8745 alpha=148.79 beta=110.18 gamma=78.45
Element x y z (fractional)
Cu (0.0770, 0.3319, 0.7451)
Cu (0.1747, 0.1747, 0.0000)
Cu (0.2311, 0.0000, 0.2311)
Cu (0.4131, 0.6681, 0.7451)
Cu (0.5869, 0.3319, 0.2549)
Cu (0.7689, 0.0000, 0.7689)
Cu (0.8253, 0.8253, 0.0000)
Cu (0.9230, 0.6681, 0.2549)
Pt (0.0000, 0.5000, 0.5000)
Au (0.3578, 0.8578, 0.5000)
Au (0.6422, 0.1422, 0.5000)

Top 10 peaks for 10 to 80 degrees two-theta, by angle:
| Position (°2θ) | Rel. int. |
| --- | --- |
| 22.60 | 10 |
| 26.63 | 27 |
| 27.56 | 22 |
| 42.10 | 100 |
| 42.24 | 9 |
| 46.14 | 20 |
| 49.29 | 18 |
| 51.48 | 11 |
| 69.81 | 12 |
| 71.60 | 8 |



5.
For ZrAl2Te, a cell relaxed with PBE gives the simulated X-ray powder pattern in this record (λ = 1.5418 Å (Cu Kα)).

Crystal structure
Unit cell a=3.7315 b=3.7315 c=5.9662 alpha=90.00 beta=90.00 gamma=90.00
Element x y z (fractional)
Zr (0.0000, 0.0000, 0.0000)
Al (0.0000, 0.0000, 0.4705)
Al (0.5000, 0.5000, 0.2499)
Te (0.5000, 0.5000, 0.7428)

Top 10 peaks for 10 to 80 degrees two-theta, by angle:
| Position (°2θ) | Rel. int. |
| --- | --- |
| 14.85 | 43 |
| 28.21 | 50 |
| 33.98 | 73 |
| 37.26 | 19 |
| 38.64 | 100 |
| 48.81 | 26 |
| 57.33 | 13 |
| 58.08 | 8 |
| 63.92 | 44 |
| 72.84 | 14 |



6.
For Mg3TlRh, a cell relaxed with PBE gives the simulated X-ray powder pattern in this record (λ = 1.5418 Å (Cu Kα)).

Crystal structure
Unit cell a=8.7029 b=7.5263 c=3.1779 alpha=90.00 beta=90.00 gamma=90.00
Element x y z (fractional)
Mg (0.0448, 0.2178, 0.0000)
Mg (0.2500, 0.5459, 0.9984)
Mg (0.4552, 0.2178, 0.0000)
Mg (0.5448, 0.7822, 0.0000)
Mg (0.7500, 0.4541, 0.9984)
Mg (0.9552, 0.7822, 0.0000)
Tl (0.2500, 0.9325, 0.5020)
Tl (0.7500, 0.0675, 0.5020)
Rh (0.0000, 0.5000, 0.4997)
Rh (0.5000, 0.5000, 0.4997)

Top 10 peaks for 10 to 80 degrees two-theta, by angle:
| Position (°2θ) | Rel. int. |
| --- | --- |
| 15.57 | 17 |
| 23.62 | 100 |
| 25.79 | 15 |
| 28.08 | 19 |
| 37.01 | 100 |
| 37.30 | 18 |
| 38.49 | 19 |
| 41.52 | 24 |
| 50.88 | 17 |
| 63.55 | 13 |



7.
For NiAu6, a cell relaxed with PBE gives the simulated X-ray powder pattern in this record (λ = 1.5418 Å (Cu Kα)).

Crystal structure
Unit cell a=7.0929 b=7.0929 c=7.0929 alpha=37.88 beta=37.88 gamma=37.88
Element x y z (fractional)
Ni (0.0000, 0.0000, 0.0000)
Au (0.1385, 0.1385, 0.1385)
Au (0.2874, 0.2874, 0.2874)
Au (0.4272, 0.4272, 0.4272)
Au (0.5728, 0.5728, 0.5728)
Au (0.7126, 0.7126, 0.7126)
Au (0.8615, 0.8615, 0.8615)

Top 10 peaks for 10 to 80 degrees two-theta, by angle:
| Position (°2θ) | Rel. int. |
| --- | --- |
| 13.47 | 1 |
| 22.75 | 2 |
| 24.07 | 1 |
| 27.12 | 1 |
| 28.79 | 2 |
| 31.91 | 2 |
| 39.13 | 100 |
| 48.25 | 1 |
| 56.54 | 17 |
| 70.91 | 35 |



8.
For CuHg2Te3, a cell relaxed with PBE gives the simulated X-ray powder pattern in this record (λ = 1.5418 Å (Cu Kα)).

Crystal structure
Unit cell a=7.8129 b=7.8129 c=7.8129 alpha=146.55 beta=60.03 gamma=131.70
Element x y z (fractional)
Cu (0.0000, 0.0000, 0.0000)
Hg (0.3181, 0.9820, 0.3361)
Hg (0.6459, 0.9820, 0.6639)
Te (0.1999, 0.6999, 0.5000)
Te (0.6069, 0.7599, 0.8470)
Te (0.9129, 0.7599, 0.1530)

Top 10 peaks for 10 to 80 degrees two-theta, by angle:
| Position (°2θ) | Rel. int. |
| --- | --- |
| 24.17 | 100 |
| 39.97 | 63 |
| 40.10 | 13 |
| 47.18 | 15 |
| 47.32 | 32 |
| 57.92 | 8 |
| 63.57 | 15 |
| 72.60 | 7 |
| 72.76 | 9 |
| 77.93 | 9 |



9.
For Y3Al3Cd2, a cell relaxed with PBE gives the simulated X-ray powder pattern in this record (λ = 1.5418 Å (Cu Kα)).

Crystal structure
Unit cell a=6.0400 b=6.0400 c=14.8603 alpha=90.00 beta=90.00 gamma=135.81
Element x y z (fractional)
Y (0.0768, 0.9232, 0.6151)
Y (0.0768, 0.9232, 0.8849)
Y (0.3518, 0.6482, 0.7500)
Y (0.6482, 0.3518, 0.2500)
Y (0.9232, 0.0768, 0.1151)
Y (0.9232, 0.0768, 0.3849)
Al (0.3609, 0.6391, 0.2500)
Al (0.3991, 0.6009, 0.5435)
Al (0.3991, 0.6009, 0.9565)
Al (0.6009, 0.3991, 0.0435)
Al (0.6009, 0.3991, 0.4565)
Al (0.6391, 0.3609, 0.7500)
Cd (0.2153, 0.7847, 0.0946)
Cd (0.2153, 0.7847, 0.4054)
Cd (0.7847, 0.2153, 0.5946)
Cd (0.7847, 0.2153, 0.9054)

Top 10 peaks for 10 to 80 degrees two-theta, by angle:
| Position (°2θ) | Rel. int. |
| --- | --- |
| 23.96 | 27 |
| 27.81 | 53 |
| 31.61 | 76 |
| 32.13 | 92 |
| 32.56 | 33 |
| 34.18 | 24 |
| 36.04 | 100 |
| 36.27 | 32 |
| 39.56 | 25 |
| 39.67 | 54 |



10.
For ErTm5Th2, a cell relaxed with PBE gives the simulated X-ray powder pattern in this record (λ = 1.5418 Å (Cu Kα)).

Crystal structure
Unit cell a=8.7238 b=8.7238 c=8.7238 alpha=156.96 beta=101.54 gamma=83.09
Element x y z (fractional)
Er (0.0000, 0.0000, 0.0000)
Tm (0.1365, 0.3699, 0.7666)
Tm (0.3967, 0.6301, 0.7666)
Tm (0.5000, 0.0000, 0.5000)
Tm (0.6033, 0.3699, 0.2334)
Tm (0.8635, 0.6301, 0.2334)
Th (0.2419, 0.7419, 0.5000)
Th (0.7581, 0.2581, 0.5000)

Top 10 peaks for 10 to 80 degrees two-theta, by angle:
| Position (°2θ) | Rel. int. |
| --- | --- |
| 30.18 | 21 |
| 31.12 | 59 |
| 31.85 | 100 |
| 32.46 | 45 |
| 32.93 | 37 |
| 35.49 | 16 |
| 46.91 | 25 |
| 57.52 | 16 |
| 58.57 | 19 |
| 62.75 | 31 |



11.
For Rb2YAsS4, a cell relaxed with PBE gives the simulated X-ray powder pattern in this record (λ = 1.5418 Å (Cu Kα)).

Crystal structure
Unit cell a=14.1637 b=12.6275 c=7.9630 alpha=83.65 beta=62.38 gamma=33.97
Element x y z (fractional)
Rb (0.0584, 0.0584, 0.6916)
Rb (0.3084, 0.3084, 0.9416)
Rb (0.6916, 0.6916, 0.0584)
Rb (0.9416, 0.9416, 0.3084)
Y (0.1250, 0.1250, 0.1250)
Y (0.8750, 0.8750, 0.8750)
As (0.3750, 0.3750, 0.3750)
As (0.6250, 0.6250, 0.6250)
S (0.0154, 0.3375, 0.4326)
S (0.2855, 0.5674, 0.6625)
S (0.3375, 0.0154, 0.7145)
S (0.4326, 0.7145, 0.0154)
S (0.5674, 0.2855, 0.9846)
S (0.6625, 0.9846, 0.2855)
S (0.7145, 0.4326, 0.3375)
S (0.9846, 0.6625, 0.5674)

Top 10 peaks for 10 to 80 degrees two-theta, by angle:
| Position (°2θ) | Rel. int. |
| --- | --- |
| 14.25 | 37 |
| 14.55 | 79 |
| 24.62 | 33 |
| 25.16 | 100 |
| 25.30 | 77 |
| 29.30 | 73 |
| 29.49 | 69 |
| 34.81 | 63 |
| 43.10 | 40 |
| 46.48 | 43 |



12.
For Tb7S5N, a cell relaxed with PBE gives the simulated X-ray powder pattern in this record (λ = 1.5418 Å (Cu Kα)).

Crystal structure
Unit cell a=6.7609 b=6.7609 c=23.9650 alpha=90.00 beta=90.00 gamma=147.87
Element x y z (fractional)
Tb (0.0452, 0.9548, 0.5000)
Tb (0.1102, 0.8898, 0.7815)
Tb (0.1653, 0.8347, 0.2066)
Tb (0.2652, 0.7348, 0.5599)
Tb (0.3340, 0.6660, 0.4137)
Tb (0.3922, 0.6078, 0.8484)
Tb (0.4409, 0.5591, 0.1300)
Tb (0.5591, 0.4409, 0.6300)
Tb (0.6078, 0.3922, 0.3484)
Tb (0.6660, 0.3340, 0.9137)
Tb (0.7348, 0.2652, 0.0599)
Tb (0.8347, 0.1653, 0.7066)
Tb (0.8898, 0.1102, 0.2815)
Tb (0.9548, 0.0452, 0.0000)
S (0.0250, 0.9750, 0.8883)
S (0.0851, 0.9149, 0.0972)
S (0.1955, 0.8045, 0.6707)
S (0.2476, 0.7524, 0.3112)
S (0.4739, 0.5261, 0.7424)
S (0.5261, 0.4739, 0.2424)
S (0.7524, 0.2476, 0.8112)
S (0.8045, 0.1955, 0.1707)
S (0.9149, 0.0851, 0.5972)
S (0.9750, 0.0250, 0.3883)
N (0.3643, 0.6357, 0.0455)
N (0.6357, 0.3643, 0.5455)

Top 10 peaks for 10 to 80 degrees two-theta, by angle:
| Position (°2θ) | Rel. int. |
| --- | --- |
| 27.20 | 44 |
| 27.71 | 38 |
| 28.96 | 73 |
| 29.49 | 100 |
| 32.49 | 83 |
| 32.92 | 42 |
| 33.58 | 74 |
| 45.48 | 35 |
| 46.58 | 45 |
| 57.93 | 43 |



13.
For CaMnInI5, a cell relaxed with PBE gives the simulated X-ray powder pattern in this record (λ = 1.5418 Å (Cu Kα)).

Crystal structure
Unit cell a=8.4515 b=8.4515 c=11.2798 alpha=104.38 beta=104.38 gamma=105.22
Element x y z (fractional)
Ca (0.0000, 0.0000, 0.0000)
Ca (0.0000, 0.0000, 0.5000)
Mn (0.3178, 0.6822, 0.7500)
Mn (0.6822, 0.3178, 0.2500)
In (0.3480, 0.6520, 0.2500)
In (0.6520, 0.3480, 0.7500)
I (0.0783, 0.6620, 0.8709)
I (0.0921, 0.9079, 0.2500)
I (0.2611, 0.3844, 0.5602)
I (0.3380, 0.9217, 0.6291)
I (0.3844, 0.2611, 0.0602)
I (0.6156, 0.7389, 0.9398)
I (0.6620, 0.0783, 0.3709)
I (0.7389, 0.6156, 0.4398)
I (0.9079, 0.0921, 0.7500)
I (0.9217, 0.3380, 0.1291)

Top 10 peaks for 10 to 80 degrees two-theta, by angle:
| Position (°2θ) | Rel. int. |
| --- | --- |
| 17.22 | 24 |
| 21.79 | 54 |
| 23.81 | 73 |
| 24.61 | 76 |
| 25.06 | 100 |
| 27.06 | 53 |
| 27.95 | 39 |
| 30.62 | 27 |
| 35.04 | 31 |
| 40.08 | 42 |